No. 1
Structure and simulated XRD peak list of TlHg3As2Cl3 (a crystal structure in the Materials Project, relaxed with GGA-PBE; CuKα).
No peak broadening, texture or thermal motion is included.

Structural model:
a b c (Å): 6.341 12.654 12.582
angles (deg): 90.00 90.00 90.00
Space group Pbcm (No. 57)
Asymmetric unit:
Tl (0.017, 0.248, 0.250) [4 per cell]
Hg (0.000, 0.000, 0.000) [4 per cell]
Hg (0.450, 0.020, 0.750) [4 per cell]
Hg (0.458, 0.250, 0.000) [4 per cell]
As (0.379, 0.056, 0.551) [8 per cell]
Cl (0.098, 0.750, 0.000) [4 per cell]
Cl (0.104, 0.503, 0.750) [4 per cell]
Cl (0.453, 0.704, 0.250) [4 per cell]

Largest 10 diffraction maxima, by intensity, 5° ≤ 2θ ≤ 70°:
2θ = 24.40°, d = 3.649 Å, I = 100, (1 2 2)
2θ = 28.18°, d = 3.167 Å, I = 66, (0 4 0)
2θ = 40.42°, d = 2.232 Å, I = 49, (0 4 4)
2θ = 47.65°, d = 1.909 Å, I = 47, (1 6 2)
2θ = 28.37°, d = 3.146 Å, I = 42, (0 0 4)
2θ = 47.90°, d = 1.899 Å, I = 24, (1 2 6)
2θ = 50.00°, d = 1.824 Å, I = 22, (2 4 4)
2θ = 40.27°, d = 2.239 Å, I = 20, (2 4 0)
2θ = 64.32°, d = 1.448 Å, I = 16, (1 6 6)
2θ = 66.36°, d = 1.409 Å, I = 11, (0 4 8)

No. 2
Structure and simulated XRD peak list of Rb2InAsCl6 (a crystal structure in the Materials Project, relaxed with GGA-PBE; CuKα).
No peak broadening, texture or thermal motion is included.

Structural model:
a b c (Å): 10.915 10.915 10.915
angles (deg): 90.00 90.00 90.00
Space group Fm-3m (No. 225)
Asymmetric unit:
Rb (0.250, 0.250, 0.250) [8 per cell]
In (0.000, 0.000, 0.000) [4 per cell]
As (0.000, 0.000, 0.500) [4 per cell]
Cl (0.000, 0.000, 0.268) [24 per cell]

Largest 10 diffraction maxima, by intensity, 5° ≤ 2θ ≤ 70°:
2θ = 23.05°, d = 3.859 Å, I = 100, (2 2 0)
2θ = 32.82°, d = 2.729 Å, I = 76, (4 0 0)
2θ = 47.10°, d = 1.930 Å, I = 51, (4 4 0)
2θ = 40.49°, d = 2.228 Å, I = 44, (4 2 2)
2θ = 63.81°, d = 1.459 Å, I = 25, (6 4 2)
2θ = 53.06°, d = 1.726 Å, I = 23, (6 2 0)
2θ = 28.32°, d = 3.151 Å, I = 17, (2 2 2)
2θ = 58.59°, d = 1.575 Å, I = 17, (4 4 4)
2θ = 16.24°, d = 5.458 Å, I = 13, (2 0 0)
2θ = 68.81°, d = 1.364 Å, I = 7, (8 0 0)

No. 3
Structure and simulated XRD peak list of KAs4ClO6 (a crystal structure in the Materials Project, relaxed with GGA-PBE; CuKα).
No peak broadening, texture or thermal motion is included.

Structural model:
a b c (Å): 5.3327 5.3327 9.1684
angles (deg): 90.00 90.00 120.00
Space group P6/mmm (No. 191)
Asymmetric unit:
K (0.0000, 0.0000, 0.0000) [1 per cell]
As (0.3333, 0.6667, 0.2962) [4 per cell]
Cl (0.0000, 0.0000, 0.5000) [1 per cell]
O (0.0000, 0.5000, 0.1872) [6 per cell]

Largest 10 diffraction maxima, by intensity, 5° ≤ 2θ ≤ 70°:
2θ = 27.41°, d = 3.254 Å, I = 100, (1 0 2)
2θ = 33.61°, d = 2.666 Å, I = 67, (1 1 0)
2θ = 19.36°, d = 4.584 Å, I = 47, (0 0 2)
2θ = 45.13°, d = 2.009 Å, I = 34, (1 1 3)
2θ = 19.22°, d = 4.618 Å, I = 27, (1 0 0)
2θ = 56.40°, d = 1.631 Å, I = 23, (2 1 2)
2θ = 61.36°, d = 1.511 Å, I = 20, (1 1 5)
2θ = 39.08°, d = 2.305 Å, I = 19, (1 1 2)
2θ = 49.47°, d = 1.842 Å, I = 13, (2 0 3)
2θ = 60.10°, d = 1.539 Å, I = 12, (3 0 0)

No. 4
Structure and simulated XRD peak list of K2RbAsCl6 (a crystal structure in the Materials Project, relaxed with GGA-PBE; CuKα).
No peak broadening, texture or thermal motion is included.

Structural model:
a b c (Å): 11.165 11.165 11.165
angles (deg): 90.00 90.00 90.00
Space group Fm-3m (No. 225)
Asymmetric unit:
K (0.250, 0.250, 0.250) [8 per cell]
Rb (0.000, 0.000, 0.000) [4 per cell]
As (0.000, 0.000, 0.500) [4 per cell]
Cl (0.000, 0.000, 0.276) [24 per cell]

Largest 10 diffraction maxima, by intensity, 5° ≤ 2θ ≤ 70°:
2θ = 32.07°, d = 2.791 Å, I = 100, (4 0 0)
2θ = 22.52°, d = 3.947 Å, I = 80, (2 2 0)
2θ = 15.88°, d = 5.583 Å, I = 72, (2 0 0)
2θ = 45.98°, d = 1.974 Å, I = 62, (4 4 0)
2θ = 39.54°, d = 2.279 Å, I = 31, (4 2 2)
2θ = 35.97°, d = 2.497 Å, I = 30, (4 2 0)
2θ = 51.79°, d = 1.765 Å, I = 21, (6 2 0)
2θ = 62.22°, d = 1.492 Å, I = 21, (6 4 2)
2θ = 57.16°, d = 1.612 Å, I = 19, (4 4 4)
2θ = 27.68°, d = 3.223 Å, I = 16, (2 2 2)

No. 5
Structure and simulated XRD peak list of KRb2AsCl6 (a crystal structure in the Materials Project, relaxed with GGA-PBE; CuKα).
No peak broadening, texture or thermal motion is included.

Structural model:
a b c (Å): 10.987 10.987 10.987
angles (deg): 90.00 90.00 90.00
Space group Fm-3m (No. 225)
Asymmetric unit:
K (0.000, 0.000, 0.000) [4 per cell]
Rb (0.250, 0.250, 0.250) [8 per cell]
As (0.000, 0.000, 0.500) [4 per cell]
Cl (0.000, 0.000, 0.272) [24 per cell]

Largest 10 diffraction maxima, by intensity, 5° ≤ 2θ ≤ 70°:
2θ = 32.60°, d = 2.747 Å, I = 100, (4 0 0)
2θ = 22.89°, d = 3.884 Å, I = 100, (2 2 0)
2θ = 46.77°, d = 1.942 Å, I = 64, (4 4 0)
2θ = 28.14°, d = 3.172 Å, I = 57, (2 2 2)
2θ = 40.21°, d = 2.243 Å, I = 42, (4 2 2)
2θ = 63.35°, d = 1.468 Å, I = 26, (6 4 2)
2θ = 52.69°, d = 1.737 Å, I = 24, (6 2 0)
2θ = 58.17°, d = 1.586 Å, I = 21, (4 4 4)
2θ = 13.96°, d = 6.343 Å, I = 19, (1 1 1)
2θ = 55.48°, d = 1.656 Å, I = 18, (6 2 2)